1.
Structure and computed powder XRD pattern of Sc4HgBr2 (DFT lattice parameters and positions (PBE); Cu Kα (weighted mean of Kα1 and Kα2)).

Cell and atoms:
Cell lengths 5.274, 5.274, 13.707 Å; angles 90.00, 90.00, 90.00 degrees
Sites, in units of the cell vectors:
Sc  0.000  0.000  0.200
Sc  0.000  0.000  0.800
Sc  0.000  0.500  0.000
Sc  0.000  0.500  0.500
Sc  0.500  0.000  0.000
Sc  0.500  0.000  0.500
Sc  0.500  0.500  0.300
Sc  0.500  0.500  0.700
Hg  0.000  0.000  0.000
Hg  0.500  0.500  0.500
Br  0.000  0.000  0.390
Br  0.000  0.000  0.610
Br  0.500  0.500  0.110
Br  0.500  0.500  0.890

The 10 most intense peaks (5 to 70 degrees two-theta), by angle:
two_theta	I (rel.)
12.92	93
18.02	27
23.86	100
25.80	51
34.00	90
36.51	31
36.96	97
43.17	27
48.85	31
51.09	75



2.
Structure and computed powder XRD pattern of ZnHg3Se3Br2 (DFT lattice parameters and positions (PBE); Cu Kα (weighted mean of Kα1 and Kα2)).

Cell and atoms:
Cell lengths 9.012, 9.012, 7.585 Å; angles 90.00, 90.00, 120.00 degrees
Sites, in units of the cell vectors:
Zn  0.000  0.000  0.193
Zn  0.000  0.000  0.807
Hg  0.000  0.500  0.000
Hg  0.000  0.500  0.500
Hg  0.500  0.000  0.000
Hg  0.500  0.000  0.500
Hg  0.500  0.500  0.000
Hg  0.500  0.500  0.500
Se  0.061  0.760  0.228
Se  0.240  0.301  0.228
Se  0.301  0.061  0.772
Se  0.699  0.939  0.228
Se  0.760  0.699  0.772
Se  0.939  0.240  0.772
Br  0.333  0.667  0.386
Br  0.333  0.667  0.845
Br  0.667  0.333  0.155
Br  0.667  0.333  0.614

The 10 most intense peaks (5 to 70 degrees two-theta), by angle:
two_theta	I (rel.)
11.34	32
22.79	72
26.12	43
32.93	100
40.02	48
46.54	21
46.91	24
48.42	22
53.75	22
68.22	21



3.
Structure and computed powder XRD pattern of Tl4HgBr6 (DFT lattice parameters and positions (PBE); Cu Kα (weighted mean of Kα1 and Kα2)).

Cell and atoms:
Cell lengths 8.962, 8.962, 8.852 Å; angles 90.00, 90.00, 90.00 degrees
Sites, in units of the cell vectors:
Tl  0.149  0.351  0.250
Tl  0.149  0.351  0.750
Tl  0.351  0.851  0.250
Tl  0.351  0.851  0.750
Tl  0.649  0.149  0.250
Tl  0.649  0.149  0.750
Tl  0.851  0.649  0.250
Tl  0.851  0.649  0.750
Hg  0.000  0.000  0.000
Hg  0.500  0.500  0.500
Br  0.000  0.000  0.292
Br  0.000  0.000  0.708
Br  0.140  0.681  0.000
Br  0.181  0.640  0.500
Br  0.319  0.140  0.000
Br  0.360  0.181  0.500
Br  0.500  0.500  0.208
Br  0.500  0.500  0.792
Br  0.640  0.819  0.500
Br  0.681  0.860  0.000
Br  0.819  0.360  0.500
Br  0.860  0.319  0.000

The 10 most intense peaks (5 to 70 degrees two-theta), by angle:
two_theta	I (rel.)
14.06	15
22.18	19
30.08	100
31.57	59
40.77	15
45.25	10
46.54	13
52.46	23
59.32	19
67.67	10



4.
Structure and computed powder XRD pattern of ZnHgBr4 (DFT lattice parameters and positions (PBE); Cu Kα (weighted mean of Kα1 and Kα2)).

Cell and atoms:
Cell lengths 4.048, 4.048, 12.395 Å; angles 90.00, 90.00, 90.00 degrees
Sites, in units of the cell vectors:
Zn  0.000  0.000  0.000
Hg  0.500  0.500  0.500
Br  0.000  0.500  0.115
Br  0.000  0.500  0.641
Br  0.500  0.000  0.359
Br  0.500  0.000  0.885

The 10 most intense peaks (5 to 70 degrees two-theta), by angle:
two_theta	I (rel.)
7.13	38
14.29	55
23.11	82
26.29	100
30.92	42
34.51	32
43.02	73
44.77	35
50.98	20
52.67	29



5.
Structure and computed powder XRD pattern of HoBr2 (DFT lattice parameters and positions (PBE); Cu Kα (weighted mean of Kα1 and Kα2)).

Cell and atoms:
Cell lengths 3.825, 6.609, 13.768 Å; angles 90.00, 90.00, 90.00 degrees
Sites, in units of the cell vectors:
Ho  0.000  0.167  0.000
Ho  0.000  0.833  0.500
Ho  0.500  0.333  0.500
Ho  0.500  0.667  0.000
Br  0.000  0.167  0.368
Br  0.000  0.499  0.632
Br  0.000  0.501  0.132
Br  0.000  0.833  0.868
Br  0.500  0.001  0.132
Br  0.500  0.333  0.868
Br  0.500  0.667  0.368
Br  0.500  0.999  0.632

The 10 most intense peaks (5 to 70 degrees two-theta), by angle:
two_theta	I (rel.)
12.86	86
27.73	45
29.97	73
33.39	100
37.71	27
42.72	44
47.61	48
48.27	16
49.52	18
63.35	16



6.
Structure and computed powder XRD pattern of Ho2Sc2I2Br3N (DFT lattice parameters and positions (PBE); Cu Kα (weighted mean of Kα1 and Kα2)).

Cell and atoms:
Cell lengths 9.970, 9.970, 7.990 Å; angles 100.99, 100.99, 21.40 degrees
Sites, in units of the cell vectors:
Ho  0.001  0.001  0.302
Ho  0.999  0.999  0.698
Sc  0.387  0.387  0.439
Sc  0.613  0.613  0.561
I  0.160  0.160  0.327
I  0.840  0.840  0.673
Br  0.147  0.147  0.815
Br  0.500  0.500  0.000
Br  0.853  0.853  0.185
N  0.500  0.500  0.500

The 10 most intense peaks (5 to 70 degrees two-theta), by angle:
two_theta	I (rel.)
9.20	100
11.29	25
22.73	35
24.48	42
27.85	59
32.99	95
40.92	22
43.54	26
43.86	28
49.22	20



7.
Structure and computed powder XRD pattern of Ho3Br3N2 (DFT lattice parameters and positions (PBE); Cu Kα (weighted mean of Kα1 and Kα2)).

Cell and atoms:
Cell lengths 4.488, 4.488, 12.338 Å; angles 90.00, 90.00, 90.00 degrees
Sites, in units of the cell vectors:
Ho  0.000  0.000  0.000
Ho  0.000  0.000  0.500
Ho  0.500  0.500  0.000
Br  0.500  0.500  0.236
Br  0.500  0.500  0.500
Br  0.500  0.500  0.764
N  0.000  0.500  0.999
N  0.500  0.000  0.001

The 10 most intense peaks (5 to 70 degrees two-theta), by angle:
two_theta	I (rel.)
7.16	33
14.36	94
24.53	33
28.12	100
28.95	53
31.71	42
40.19	44
40.80	74
42.89	24
50.28	45



8.
Structure and computed powder XRD pattern of NdHoBr3N (DFT lattice parameters and positions (PBE); Cu Kα (weighted mean of Kα1 and Kα2)).

Cell and atoms:
Cell lengths 9.331, 9.331, 11.689 Å; angles 122.89, 122.89, 24.57 degrees
Sites, in units of the cell vectors:
Nd  0.136  0.136  0.285
Nd  0.864  0.864  0.715
Ho  0.426  0.426  0.040
Ho  0.574  0.574  0.960
Br  0.043  0.043  0.756
Br  0.213  0.213  0.111
Br  0.335  0.335  0.489
Br  0.665  0.665  0.511
Br  0.787  0.787  0.889
Br  0.957  0.957  0.244
N  0.428  0.428  0.852
N  0.572  0.572  0.148

The 10 most intense peaks (5 to 70 degrees two-theta), by angle:
two_theta	I (rel.)
9.10	52
10.05	100
26.12	47
27.50	47
30.76	30
31.24	40
31.66	59
35.26	29
41.74	30
45.71	33



9.
Structure and computed powder XRD pattern of Nd2Ho2Br5N (DFT lattice parameters and positions (PBE); Cu Kα (weighted mean of Kα1 and Kα2)).

Cell and atoms:
Cell lengths 9.158, 9.158, 8.320 Å; angles 102.71, 102.71, 24.09 degrees
Sites, in units of the cell vectors:
Nd  0.001  0.001  0.297
Nd  0.999  0.999  0.703
Ho  0.367  0.367  0.433
Ho  0.633  0.633  0.567
Br  0.168  0.168  0.828
Br  0.173  0.173  0.339
Br  0.500  0.500  0.000
Br  0.827  0.827  0.661
Br  0.832  0.832  0.172
N  0.500  0.500  0.500

The 10 most intense peaks (5 to 70 degrees two-theta), by angle:
two_theta	I (rel.)
10.14	22
10.91	64
30.74	36
31.34	22
31.79	100
34.78	38
43.51	16
44.69	22
44.93	22
47.58	18



10.
Structure and computed powder XRD pattern of Pr2Ho2Br5N (DFT lattice parameters and positions (PBE); Cu Kα (weighted mean of Kα1 and Kα2)).

Cell and atoms:
Cell lengths 9.195, 9.195, 8.403 Å; angles 102.69, 102.69, 24.11 degrees
Sites, in units of the cell vectors:
Pr  0.001  0.001  0.296
Pr  0.999  0.999  0.704
Ho  0.367  0.367  0.434
Ho  0.633  0.633  0.566
Br  0.169  0.169  0.824
Br  0.174  0.174  0.343
Br  0.500  0.500  0.000
Br  0.826  0.826  0.657
Br  0.831  0.831  0.176
N  0.500  0.500  0.500

The 10 most intense peaks (5 to 70 degrees two-theta), by angle:
two_theta	I (rel.)
10.09	20
10.80	67
30.61	35
31.16	21
31.56	100
34.61	45
39.87	22
44.39	22
44.68	22
47.33	18



11.
Structure and computed powder XRD pattern of HoScBr2N (DFT lattice parameters and positions (PBE); Cu Kα (weighted mean of Kα1 and Kα2)).

Cell and atoms:
Cell lengths 3.543, 3.543, 10.092 Å; angles 90.00, 90.00, 120.00 degrees
Sites, in units of the cell vectors:
Ho  0.000  0.000  0.000
Sc  0.333  0.667  0.242
Br  0.000  0.000  0.422
Br  0.333  0.667  0.804
N  0.667  0.333  0.128

The 10 most intense peaks (5 to 70 degrees two-theta), by angle:
two_theta	I (rel.)
8.76	81
17.58	20
29.10	37
30.45	15
34.20	100
39.76	39
46.61	16
51.59	27
54.41	14
63.37	16